No. 1
Diffraction record for LaSmTmCo. The powder XRD pattern is calculated, not measured: it uses a crystal structure in Alexandria, relaxed with PBE and CuKα.

Structural model:
```
4
Lattice="7.4403 -2.1461 0.0000 7.4403 2.1461 0.0000 -0.0031 0.0000 3.5577" Properties=species:S:1:pos:R:3 pbc="T T T"
La 0.0000 0.0000 0.0000
Sm 9.9939 0.0000 1.7814
Tm 5.1293 0.0000 1.7766
Co 12.3115 0.0000 3.5566
```

Principal peaks in the range 5° ≤ 2θ ≤ 70°, in order of rising 2θ:
d 3.246, I 100; d 3.210, I 39; d 2.694, I 90; d 2.571, I 32; d 2.480, I 40; d 2.398, I 34; d 2.146, I 28; d 2.015, I 34; d 1.679, I 23; d 1.560, I 24


No. 2
Diffraction record for Cd8Ag4Pb. The powder XRD pattern is calculated, not measured: it uses a crystal structure in Alexandria, relaxed with PBE and CuKα.

Structural model:
```
13
Lattice="-4.9649 4.9649 2.8664 4.9649 -4.9649 2.8664 4.9649 4.9649 -2.8664" Properties=species:S:1:pos:R:3 pbc="T T T"
Cd 2.1498 0.0000 0.0000
Cd 7.7799 0.0000 0.0000
Cd 4.9649 1.5301 0.0000
Cd 0.0000 2.1498 0.0000
Cd 1.5301 4.9649 0.0000
Cd 3.4347 0.0000 2.8664
Cd 0.0000 7.7799 0.0000
Cd 0.0000 3.4347 2.8664
Ag 2.4824 2.4824 -1.4332
Ag 2.4824 -2.4824 1.4332
Ag -2.4824 2.4824 1.4332
Ag 2.4824 2.4824 1.4332
Pb 0.0000 0.0000 2.8664
```

Principal peaks in the range 5° ≤ 2θ ≤ 70°, in order of rising 2θ:
d 3.511, I 5; d 3.140, I 4; d 2.866, I 29; d 2.482, I 100; d 2.220, I 37; d 1.755, I 8; d 1.655, I 5; d 1.570, I 15; d 1.497, I 4; d 1.433, I 27


No. 3
Diffraction record for Ho4Ga16Fe3. The powder XRD pattern is calculated, not measured: it uses a crystal structure in Alexandria, relaxed with PBE and CuKα.

Structural model:
```
23
Lattice="6.0110 0.0000 0.0000 0.0000 6.0110 0.0000 0.0000 0.0000 11.1613" Properties=species:S:1:pos:R:3 pbc="T T T"
Ho 0.0000 3.0055 2.1658
Ho 0.0000 3.0055 8.9955
Ho 3.0055 0.0000 2.1658
Ho 3.0055 0.0000 8.9955
Ga 0.0000 0.0000 2.2218
Ga 0.0000 0.0000 8.9395
Ga 1.3158 1.3158 0.0000
Ga 1.3158 4.6951 0.0000
Ga 1.5132 1.5132 4.2992
Ga 1.5132 1.5132 6.8621
Ga 1.5132 4.4978 4.2992
Ga 1.5132 4.4978 6.8621
Ga 3.0055 3.0055 2.4127
Ga 3.0055 3.0055 8.7487
Ga 4.4978 1.5132 4.2992
Ga 4.4978 1.5132 6.8621
Ga 4.4978 4.4978 4.2992
Ga 4.4978 4.4978 6.8621
Ga 4.6951 1.3158 0.0000
Ga 4.6951 4.6951 0.0000
Fe 0.0000 3.0055 5.5807
Fe 3.0055 0.0000 5.5807
Fe 3.0055 3.0055 0.0000
```

Principal peaks in the range 5° ≤ 2θ ≤ 70°, in order of rising 2θ:
d 4.250, I 19; d 2.902, I 15; d 2.799, I 24; d 2.646, I 58; d 2.338, I 100; d 2.232, I 30; d 2.125, I 70; d 2.045, I 17; d 1.539, I 35; d 1.503, I 22